[1]
# Rb5Cd
Theoretical X-ray powder pattern, a wavelength of 1.5418 Å. Input: DFT lattice parameters and positions (GGA-PBE).
Neutral-atom scattering factors, no anomalous dispersion.

Cell and atoms:
```
data_Rb5Cd
_chemical_formula_sum 'Rb20 Cd4'
_cell_length_a 9.844
_cell_length_b 9.844
_cell_length_c 18.351
_cell_angle_alpha 90.00
_cell_angle_beta 90.00
_cell_angle_gamma 90.00
_symmetry_space_group_name_H-M 'I 4/m c m'
_symmetry_Int_Tables_number 140
_symmetry_space_group_name_Hall '-I 4 2c'
loop_
_atom_site_label
_atom_site_type_symbol
_atom_site_fract_x
_atom_site_fract_y
_atom_site_fract_z
Rb1 Rb 0.000 0.000 0.000
Rb2 Rb 0.167 0.333 0.148
Cd1 Cd 0.000 0.000 0.250
```

The 10 most intense peaks (2θ from 10° to 90°), low angle first:
2θ 12.72, I 26
2θ 20.75, I 62
2θ 23.22, I 74
2θ 24.92, I 100
2θ 25.59, I 33
2θ 26.56, I 86
2θ 28.68, I 82
2θ 40.03, I 31
2θ 40.56, I 27
2θ 43.72, I 43



[2]
# Rb3Cd2
Theoretical X-ray powder pattern, a wavelength of 1.5418 Å. Input: DFT lattice parameters and positions (GGA-PBE).
Neutral-atom scattering factors, no anomalous dispersion.

Cell and atoms:
```
data_Rb3Cd2
_chemical_formula_sum 'Rb6 Cd4'
_cell_length_a 5.317
_cell_length_b 19.076
_cell_length_c 5.476
_cell_angle_alpha 90.00
_cell_angle_beta 90.00
_cell_angle_gamma 90.00
_symmetry_space_group_name_H-M 'C m m m'
_symmetry_Int_Tables_number 65
_symmetry_space_group_name_Hall '-C 2 2'
loop_
_atom_site_label
_atom_site_type_symbol
_atom_site_fract_x
_atom_site_fract_y
_atom_site_fract_z
Rb1 Rb 0.000 0.000 0.000
Rb2 Rb 0.000 0.350 0.500
Cd1 Cd 0.000 0.213 0.000
```

The 10 most intense peaks (2θ from 10° to 90°), low angle first:
2θ 23.79, I 98
2θ 24.76, I 100
2θ 27.26, I 61
2θ 28.80, I 46
2θ 32.71, I 44
2θ 33.21, I 62
2θ 33.72, I 40
2θ 42.28, I 47
2θ 44.13, I 28
2θ 47.68, I 30



[3]
# Rb4Cd
Theoretical X-ray powder pattern, a wavelength of 1.5418 Å. Input: DFT lattice parameters and positions (GGA-PBE).
Neutral-atom scattering factors, no anomalous dispersion.

Cell and atoms:
```
data_Rb4Cd
_chemical_formula_sum 'Rb8 Cd2'
_cell_length_a 9.340
_cell_length_b 9.340
_cell_length_c 8.322
_cell_angle_alpha 90.00
_cell_angle_beta 90.00
_cell_angle_gamma 90.00
_symmetry_space_group_name_H-M 'P 4/m c c'
_symmetry_Int_Tables_number 124
_symmetry_space_group_name_Hall '-P 4 2c'
loop_
_atom_site_label
_atom_site_type_symbol
_atom_site_fract_x
_atom_site_fract_y
_atom_site_fract_z
Rb1 Rb 0.170 0.317 0.000
Cd1 Cd 0.000 0.000 0.250
```

The 10 most intense peaks (2θ from 10° to 90°), low angle first:
2θ 21.32, I 24
2θ 23.84, I 100
2θ 25.30, I 24
2θ 27.00, I 17
2θ 28.73, I 56
2θ 30.28, I 47
2θ 38.97, I 27
2θ 41.31, I 32
2θ 46.68, I 26
2θ 52.13, I 16



[4]
# RbCd
Theoretical X-ray powder pattern, a wavelength of 1.5418 Å. Input: DFT lattice parameters and positions (GGA-PBE).
Neutral-atom scattering factors, no anomalous dispersion.

Cell and atoms:
```
data_RbCd
_chemical_formula_sum 'Rb6 Cd6'
_cell_length_a 4.300
_cell_length_b 19.158
_cell_length_c 6.599
_cell_angle_alpha 90.00
_cell_angle_beta 90.00
_cell_angle_gamma 90.00
_symmetry_space_group_name_H-M 'A m m 2'
_symmetry_Int_Tables_number 38
loop_
_symmetry_equiv_pos_as_xyz
'x,y,z'
'-x,-y,z'
'-x,y,z'
'x,-y,z'
'x,y+1/2,z+1/2'
'-x,-y+1/2,z+1/2'
'-x,y+1/2,z+1/2'
'x,-y+1/2,z+1/2'
loop_
_atom_site_label
_atom_site_type_symbol
_atom_site_fract_x
_atom_site_fract_y
_atom_site_fract_z
Rb1 Rb 0.000 0.000 0.000
Rb2 Rb 0.000 0.179 0.315
Cd1 Cd 0.500 0.000 0.532
Cd2 Cd 0.500 0.140 0.777
```

The 10 most intense peaks (2θ from 10° to 90°), low angle first:
2θ 14.19, I 14
2θ 25.15, I 52
2θ 27.93, I 36
2θ 28.44, I 100
2θ 28.61, I 28
2θ 32.96, I 33
2θ 41.43, I 15
2θ 42.02, I 16
2θ 46.62, I 14
2θ 54.43, I 21